For Li4Mn5P6WO24, a GGA+U-relaxed structure gives the computed powder XRD pattern in this record (λ = 1.5418 Å (Cu Kα)).
Peak positions follow from Bragg's law for the DFT cell and can differ from measured ones.

```
data_Li4Mn5P6WO24
_chemical_formula_sum 'Li4 Mn5 P6 W1 O24'
_symmetry_space_group_name_H-M 'P 1'
_symmetry_Int_Tables_number 1
_cell_length_a 8.4627
_cell_length_b 8.6445
_cell_length_c 8.7482
_cell_angle_alpha 119.20
_cell_angle_beta 90.50
_cell_angle_gamma 116.32
loop_
_symmetry_equiv_pos_as_xyz
'x,y,z'
loop_
_atom_site_label
_atom_site_type_symbol
_atom_site_fract_x
_atom_site_fract_y
_atom_site_fract_z
Li1 Li 0.0000 0.0000 0.0000
Li2 Li 0.0135 0.6780 0.3104
Li3 Li 0.0584 0.3811 0.7036
Li4 Li 0.5755 0.7617 0.2324
Mn1 Mn 0.3285 0.8818 0.0990
Mn2 Mn 0.3374 0.5552 0.4445
Mn3 Mn 0.7397 0.7260 0.5732
Mn4 Mn 0.7851 0.2023 0.2910
Mn5 Mn 0.8284 0.5251 0.9217
P1 P 0.0438 0.6775 0.6403
P2 P 0.0703 0.0804 0.3560
P3 P 0.1241 0.4182 0.0611
P4 P 0.5553 0.3375 0.1459
P5 P 0.5631 0.6444 0.8445
P6 P 0.6063 0.0572 0.5564
W1 W 0.2716 0.1458 0.7336
O1 O 0.0419 0.8892 0.7279
O2 O 0.0722 0.5776 0.0733
O3 O 0.0992 0.9923 0.4714
O4 O 0.1122 0.6674 0.7969
O5 O 0.1323 0.2998 0.8566
O6 O 0.1483 0.0063 0.1920
O7 O 0.1555 0.6701 0.5026
O8 O 0.1641 0.3166 0.4877
O9 O 0.3135 0.5496 0.1990
O10 O 0.3856 0.2399 0.9905
O11 O 0.4518 0.0479 0.6532
O12 O 0.4791 0.4088 0.7587
O13 O 0.4916 0.7398 0.0055
O14 O 0.5261 0.4511 0.3340
O15 O 0.5287 0.6885 0.7005
O16 O 0.5496 0.0344 0.3733
O17 O 0.5686 0.1530 0.1211
O18 O 0.6282 0.8705 0.5074
O19 O 0.7328 0.4972 0.1384
O20 O 0.7745 0.7329 0.9038
O21 O 0.7893 0.2607 0.6854
O22 O 0.8404 0.5068 0.5251
O23 O 0.8633 0.9961 0.2879
O24 O 0.9824 0.2600 0.0978
```

Peak list (6 most intense, 10° ≤ 2θ ≤ 90°, sorted by position)
two_theta	I (rel.)	hkl
12.1	40	1 0 0
20.3	100	-1 1 1
23.1	37	0 2 -1
23.7	37	1 -1 2
24.6	46	-2 1 1
35.9	47	2 -3 0